1.
Starting from a cell relaxed with PBE, the powder diffraction line list of Pm2Ho3Sn3 was simulated for Cu Kα (λ = 1.5418 Å).
No peak broadening, texture or thermal motion is included.

```
data_Pm2Ho3Sn3
_symmetry_space_group_name_H-M 'P 1'
_symmetry_Int_Tables_number 1
_cell_length_a 9.0510
_cell_length_b 9.0510
_cell_length_c 6.6613
_cell_angle_alpha 90.00
_cell_angle_beta 90.00
_cell_angle_gamma 120.00
loop_
_symmetry_equiv_pos_as_xyz
'x,y,z'
loop_
_atom_site_label
_atom_site_type_symbol
_atom_site_fract_x
_atom_site_fract_y
_atom_site_fract_z
Pm1 Pm 0.3333 0.6667 0.0000
Pm2 Pm 0.3333 0.6667 0.5000
Pm3 Pm 0.6667 0.3333 0.0000
Pm4 Pm 0.6667 0.3333 0.5000
Ho1 Ho 0.0000 0.2366 0.2500
Ho2 Ho 0.0000 0.7634 0.7500
Ho3 Ho 0.2366 0.0000 0.2500
Ho4 Ho 0.2366 0.2366 0.7500
Ho5 Ho 0.7634 0.0000 0.7500
Ho6 Ho 0.7634 0.7634 0.2500
Sn1 Sn 0.0000 0.3911 0.7500
Sn2 Sn 0.0000 0.6089 0.2500
Sn3 Sn 0.3911 0.0000 0.7500
Sn4 Sn 0.3911 0.3911 0.2500
Sn5 Sn 0.6089 0.0000 0.2500
Sn6 Sn 0.6089 0.6089 0.7500
```

Principal peaks in the range 10° ≤ 2θ ≤ 90°, sorted by position:
2θ = 26.77°, 3.331 Å, intensity 18
2θ = 29.13°, 3.065 Å, intensity 21
2θ = 30.17°, 2.963 Å, intensity 31
2θ = 33.09°, 2.707 Å, intensity 100
2θ = 33.40°, 2.682 Å, intensity 69
2θ = 34.32°, 2.613 Å, intensity 34
2θ = 48.65°, 1.872 Å, intensity 19
2θ = 51.43°, 1.777 Å, intensity 29
2θ = 54.32°, 1.689 Å, intensity 13
2θ = 65.85°, 1.418 Å, intensity 18

2.
Starting from a cell relaxed with PBE, the powder diffraction line list of PmHo2Ta was simulated for Cu Kα (λ = 1.5418 Å).
No peak broadening, texture or thermal motion is included.

```
data_PmHo2Ta
_symmetry_space_group_name_H-M 'P 1'
_symmetry_Int_Tables_number 1
_cell_length_a 3.2794
_cell_length_b 3.2794
_cell_length_c 35.3315
_cell_angle_alpha 90.00
_cell_angle_beta 90.00
_cell_angle_gamma 120.00
loop_
_symmetry_equiv_pos_as_xyz
'x,y,z'
loop_
_atom_site_label
_atom_site_type_symbol
_atom_site_fract_x
_atom_site_fract_y
_atom_site_fract_z
Pm1 Pm 0.0000 0.0000 0.0000
Pm2 Pm 0.3333 0.6667 0.6667
Pm3 Pm 0.6667 0.3333 0.3333
Ho1 Ho 0.0000 0.0000 0.4175
Ho2 Ho 0.0000 0.0000 0.5825
Ho3 Ho 0.3333 0.6667 0.0841
Ho4 Ho 0.3333 0.6667 0.2492
Ho5 Ho 0.6667 0.3333 0.7508
Ho6 Ho 0.6667 0.3333 0.9159
Ta1 Ta 0.0000 0.0000 0.5000
Ta2 Ta 0.3333 0.6667 0.1667
Ta3 Ta 0.6667 0.3333 0.8333
```

Principal peaks in the range 10° ≤ 2θ ≤ 90°, sorted by position:
2θ = 30.36°, 2.944 Å, intensity 67
2θ = 31.61°, 2.831 Å, intensity 42
2θ = 31.92°, 2.804 Å, intensity 100
2θ = 34.02°, 2.635 Å, intensity 21
2θ = 36.30°, 2.475 Å, intensity 19
2θ = 40.76°, 2.214 Å, intensity 48
2θ = 48.24°, 1.886 Å, intensity 34
2θ = 56.09°, 1.640 Å, intensity 36
2θ = 65.12°, 1.433 Å, intensity 46
2θ = 89.46°, 1.095 Å, intensity 20

3.
Starting from a cell relaxed with PBE, the powder diffraction line list of TbPm2Ho7 was simulated for Cu Kα (λ = 1.5418 Å).
No peak broadening, texture or thermal motion is included.

```
data_TbPm2Ho7
_symmetry_space_group_name_H-M 'P 1'
_symmetry_Int_Tables_number 1
_cell_length_a 6.1455
_cell_length_b 7.1033
_cell_length_c 7.9356
_cell_angle_alpha 102.92
_cell_angle_beta 97.38
_cell_angle_gamma 106.82
loop_
_symmetry_equiv_pos_as_xyz
'x,y,z'
loop_
_atom_site_label
_atom_site_type_symbol
_atom_site_fract_x
_atom_site_fract_y
_atom_site_fract_z
Tb1 Tb 0.0000 0.0000 0.0000
Pm1 Pm 0.3998 0.7995 0.7996
Pm2 Pm 0.6002 0.2005 0.2004
Ho1 Ho 0.0000 0.5000 0.0000
Ho2 Ho 0.1990 0.8994 0.3998
Ho3 Ho 0.2001 0.4007 0.4011
Ho4 Ho 0.4006 0.3000 0.7992
Ho5 Ho 0.5994 0.7000 0.2008
Ho6 Ho 0.7999 0.5993 0.5989
Ho7 Ho 0.8010 0.1006 0.6002
```

Principal peaks in the range 10° ≤ 2θ ≤ 90°, sorted by position:
2θ = 30.85°, 2.898 Å, intensity 100
2θ = 35.78°, 2.510 Å, intensity 51
2θ = 51.49°, 1.775 Å, intensity 36
2θ = 61.24°, 1.513 Å, intensity 43
2θ = 64.28°, 1.449 Å, intensity 12
2θ = 75.81°, 1.255 Å, intensity 6
2θ = 84.02°, 1.152 Å, intensity 12
2θ = 84.10°, 1.151 Å, intensity 6
2θ = 86.73°, 1.123 Å, intensity 8
2θ = 86.79°, 1.122 Å, intensity 8

4.
Starting from a cell relaxed with PBE, the powder diffraction line list of Tb4Pm8Ho was simulated for Cu Kα (λ = 1.5418 Å).
No peak broadening, texture or thermal motion is included.

```
data_Tb4Pm8Ho
_symmetry_space_group_name_H-M 'P 1'
_symmetry_Int_Tables_number 1
_cell_length_a 10.4251
_cell_length_b 10.4251
_cell_length_c 10.4251
_cell_angle_alpha 41.03
_cell_angle_beta 41.03
_cell_angle_gamma 41.03
loop_
_symmetry_equiv_pos_as_xyz
'x,y,z'
loop_
_atom_site_label
_atom_site_type_symbol
_atom_site_fract_x
_atom_site_fract_y
_atom_site_fract_z
Tb1 Tb 0.0000 0.0000 0.0000
Tb2 Tb 0.0000 0.5000 0.5000
Tb3 Tb 0.5000 0.0000 0.5000
Tb4 Tb 0.5000 0.5000 0.0000
Pm1 Pm 0.2032 0.7512 0.7512
Pm2 Pm 0.2129 0.2129 0.2129
Pm3 Pm 0.2488 0.2488 0.7968
Pm4 Pm 0.2488 0.7968 0.2488
Pm5 Pm 0.7512 0.2032 0.7512
Pm6 Pm 0.7512 0.7512 0.2032
Pm7 Pm 0.7871 0.7871 0.7871
Pm8 Pm 0.7968 0.2488 0.2488
Ho1 Ho 0.5000 0.5000 0.5000
```

Principal peaks in the range 10° ≤ 2θ ≤ 90°, sorted by position:
2θ = 28.08°, 3.178 Å, intensity 24
2θ = 28.38°, 3.145 Å, intensity 14
2θ = 30.90°, 2.894 Å, intensity 100
2θ = 32.34°, 2.769 Å, intensity 33
2θ = 37.98°, 2.369 Å, intensity 31
2θ = 49.93°, 1.827 Å, intensity 28
2θ = 50.53°, 1.806 Å, intensity 13
2θ = 58.26°, 1.584 Å, intensity 17
2θ = 59.88°, 1.545 Å, intensity 13
2θ = 81.63°, 1.179 Å, intensity 9

5.
Starting from a cell relaxed with PBE, the powder diffraction line list of Tb12Pm2Ho was simulated for Cu Kα (λ = 1.5418 Å).
No peak broadening, texture or thermal motion is included.

```
data_Tb12Pm2Ho
_symmetry_space_group_name_H-M 'P 1'
_symmetry_Int_Tables_number 1
_cell_length_a 6.6880
_cell_length_b 6.6880
_cell_length_c 24.7465
_cell_angle_alpha 90.00
_cell_angle_beta 90.00
_cell_angle_gamma 116.07
loop_
_symmetry_equiv_pos_as_xyz
'x,y,z'
loop_
_atom_site_label
_atom_site_type_symbol
_atom_site_fract_x
_atom_site_fract_y
_atom_site_fract_z
Tb1 Tb 0.0008 0.5008 0.1259
Tb2 Tb 0.0006 0.9994 0.9232
Tb3 Tb 0.0139 0.5139 0.5844
Tb4 Tb 0.0170 0.9830 0.4391
Tb5 Tb 0.2500 0.2500 0.1986
Tb6 Tb 0.2500 0.2500 0.3270
Tb7 Tb 0.2500 0.2500 0.6730
Tb8 Tb 0.2500 0.2500 0.8014
Tb9 Tb 0.4830 0.5170 0.4391
Tb10 Tb 0.4861 0.9861 0.5844
Tb11 Tb 0.4994 0.5006 0.9232
Tb12 Tb 0.4992 0.9992 0.1259
Tb13 Tb 0.5008 0.0008 0.8741
Tb14 Tb 0.5006 0.4994 0.0768
Tb15 Tb 0.5139 0.0139 0.4156
Tb16 Tb 0.5170 0.4830 0.5609
Tb17 Tb 0.7500 0.7500 0.1986
Tb18 Tb 0.7500 0.7500 0.3270
Tb19 Tb 0.7500 0.7500 0.6730
Tb20 Tb 0.7500 0.7500 0.8014
Tb21 Tb 0.9830 0.0170 0.5609
Tb22 Tb 0.9861 0.4861 0.4156
Tb23 Tb 0.9994 0.0006 0.0768
Tb24 Tb 0.9992 0.4992 0.8741
Pm1 Pm 0.2500 0.7500 0.2703
Pm2 Pm 0.2500 0.7500 0.7353
Pm3 Pm 0.7500 0.2500 0.2647
Pm4 Pm 0.7500 0.2500 0.7297
Ho1 Ho 0.2500 0.7500 0.0001
Ho2 Ho 0.7500 0.2500 0.9999
```

Principal peaks in the range 10° ≤ 2θ ≤ 90°, sorted by position:
2θ = 29.06°, 3.073 Å, intensity 32
2θ = 29.78°, 3.001 Å, intensity 65
2θ = 30.63°, 2.919 Å, intensity 98
2θ = 31.54°, 2.837 Å, intensity 100
2θ = 31.70°, 2.823 Å, intensity 28
2θ = 32.98°, 2.716 Å, intensity 81
2θ = 33.15°, 2.702 Å, intensity 62
2θ = 37.02°, 2.428 Å, intensity 65
2θ = 51.63°, 1.770 Å, intensity 27
2θ = 61.77°, 1.502 Å, intensity 29

6.
Starting from a cell relaxed with PBE, the powder diffraction line list of Tb3Pm2Ho9 was simulated for Cu Kα (λ = 1.5418 Å).
No peak broadening, texture or thermal motion is included.

```
data_Tb3Pm2Ho9
_symmetry_space_group_name_H-M 'P 1'
_symmetry_Int_Tables_number 1
_cell_length_a 6.2014
_cell_length_b 8.7222
_cell_length_c 8.7385
_cell_angle_alpha 78.89
_cell_angle_beta 86.51
_cell_angle_gamma 77.76
loop_
_symmetry_equiv_pos_as_xyz
'x,y,z'
loop_
_atom_site_label
_atom_site_type_symbol
_atom_site_fract_x
_atom_site_fract_y
_atom_site_fract_z
Tb1 Tb 0.0000 0.0000 0.0000
Tb2 Tb 0.2581 0.2733 0.3824
Tb3 Tb 0.7419 0.7267 0.6176
Pm1 Pm 0.4562 0.7041 0.9706
Pm2 Pm 0.5438 0.2959 0.0294
Ho1 Ho 0.0000 0.5000 0.0000
Ho2 Ho 0.0907 0.6927 0.3158
Ho3 Ho 0.1844 0.8951 0.6198
Ho4 Ho 0.3478 0.4918 0.6662
Ho5 Ho 0.4895 0.9171 0.2529
Ho6 Ho 0.5105 0.0829 0.7471
Ho7 Ho 0.6522 0.5082 0.3338
Ho8 Ho 0.8156 0.1049 0.3802
Ho9 Ho 0.9093 0.3073 0.6842
```

Principal peaks in the range 10° ≤ 2θ ≤ 90°, sorted by position:
2θ = 31.14°, 2.872 Å, intensity 29
2θ = 31.30°, 2.858 Å, intensity 43
2θ = 31.45°, 2.844 Å, intensity 100
2θ = 31.95°, 2.801 Å, intensity 34
2θ = 32.11°, 2.788 Å, intensity 56
2θ = 33.01°, 2.713 Å, intensity 50
2θ = 34.10°, 2.629 Å, intensity 30
2θ = 34.51°, 2.599 Å, intensity 43
2θ = 52.84°, 1.733 Å, intensity 18
2θ = 54.76°, 1.676 Å, intensity 24